Record 1
The following is a theoretical powder diffraction line list of TiGePd. It was derived from a crystal structure in the Materials Project, relaxed with PBE, using Cu Kα (weighted mean of Kα1 and Kα2).
Kinematic intensities with the Lorentz-polarization factor, no thermal factor.

Main lines, by angle (10° ≤ 2θ ≤ 90°):
| Position (°2θ) | d/Å | intensity |
| --- | --- | --- |
| 36.2 | 2.482 | 100 |
| 39.5 | 2.280 | 90 |
| 41.4 | 2.182 | 54 |
| 47.2 | 1.924 | 41 |
| 48.4 | 1.882 | 60 |
| 76.3 | 1.247 | 35 |

Atomic structure:
```
data_TiGePd
_symmetry_space_group_name_H-M 'P -6 2 m'
_symmetry_Int_Tables_number 189
_symmetry_space_group_name_Hall 'P -6 -2'
_cell_length_a 6.6646
_cell_length_b 6.6646
_cell_length_c 3.7202
_cell_angle_alpha 90.00
_cell_angle_beta 90.00
_cell_angle_gamma 120.00
loop_
_atom_site_label
_atom_site_fract_x
_atom_site_fract_y
_atom_site_fract_z
Ti1 0.0000 0.4111 0.0000
Ge1 0.0000 0.0000 0.0000
Ge2 0.3333 0.6667 0.5000
Pd1 0.0000 0.7400 0.5000
```



Record 2
The following is a theoretical powder diffraction line list of ErAlNi. It was derived from a crystal structure in the Materials Project, relaxed with PBE, using Cu Kα (weighted mean of Kα1 and Kα2).
Kinematic intensities with the Lorentz-polarization factor, no thermal factor.

Main lines, by angle (10° ≤ 2θ ≤ 90°):
| Position (°2θ) | d/Å | intensity |
| --- | --- | --- |
| 33.4 | 2.684 | 28 |
| 33.7 | 2.660 | 42 |
| 37.3 | 2.408 | 100 |
| 39.8 | 2.267 | 27 |
| 40.0 | 2.252 | 67 |
| 40.4 | 2.235 | 35 |

Atomic structure:
```
data_ErAlNi
_symmetry_space_group_name_H-M 'A m m 2'
_symmetry_Int_Tables_number 38
_cell_length_a 8.464
_cell_length_b 5.369
_cell_length_c 9.185
_cell_angle_alpha 90.00
_cell_angle_beta 90.00
_cell_angle_gamma 90.00
loop_
_symmetry_equiv_pos_as_xyz
'x,y,z'
'-x,-y,z'
'-x,y,z'
'x,-y,z'
'x,y+1/2,z+1/2'
'-x,-y+1/2,z+1/2'
'-x,y+1/2,z+1/2'
'x,-y+1/2,z+1/2'
loop_
_atom_site_label
_atom_site_fract_x
_atom_site_fract_y
_atom_site_fract_z
Er1 0.176 0.000 0.000
Er2 0.296 0.000 0.337
Al1 0.238 0.000 0.674
Al2 0.500 0.245 0.083
Ni1 0.000 0.000 0.503
Ni2 0.000 0.247 0.254
Ni3 0.500 0.000 0.838
```



Record 3
The following is a theoretical powder diffraction line list of NbPO5. It was derived from a crystal structure in the Materials Project, relaxed with PBE, using Cu Kα (weighted mean of Kα1 and Kα2).
Kinematic intensities with the Lorentz-polarization factor, no thermal factor.

Main lines, by angle (10° ≤ 2θ ≤ 90°):
| Position (°2θ) | d/Å | intensity |
| --- | --- | --- |
| 17.9 | 4.944 | 82 |
| 23.6 | 3.764 | 41 |
| 26.1 | 3.414 | 100 |
| 27.2 | 3.279 | 63 |
| 38.4 | 2.343 | 25 |
| 43.1 | 2.099 | 33 |

Atomic structure:
```
data_NbPO5
_symmetry_space_group_name_H-M 'P n m a'
_symmetry_Int_Tables_number 62
_cell_length_a 7.662
_cell_length_b 6.558
_cell_length_c 7.527
_cell_angle_alpha 90.00
_cell_angle_beta 90.00
_cell_angle_gamma 90.00
loop_
_symmetry_equiv_pos_as_xyz
'x,y,z'
'-x,-y,-z'
'-x+1/2,-y,z+1/2'
'x+1/2,y,-z+1/2'
'x+1/2,-y+1/2,-z+1/2'
'-x+1/2,y+1/2,z+1/2'
'-x,y+1/2,-z'
'x,-y+1/2,z'
loop_
_atom_site_label
_atom_site_fract_x
_atom_site_fract_y
_atom_site_fract_z
Nb1 0.154 0.250 0.240
P1 0.122 0.750 0.123
O1 0.048 0.250 0.990
O2 0.118 0.750 0.675
O3 0.127 0.559 0.241
O4 0.215 0.250 0.499
```



Record 4
The following is a theoretical powder diffraction line list of NaLiH4C2O5. It was derived from a crystal structure in the Materials Project, relaxed with PBE, using Cu Kα (weighted mean of Kα1 and Kα2).
Kinematic intensities with the Lorentz-polarization factor, no thermal factor.

Main lines, by angle (10° ≤ 2θ ≤ 90°):
| Position (°2θ) | d/Å | intensity |
| --- | --- | --- |
| 11.9 | 7.457 | 52 |
| 28.5 | 3.133 | 100 |
| 28.6 | 3.123 | 59 |
| 33.2 | 2.699 | 30 |
| 33.5 | 2.678 | 35 |
| 34.5 | 2.603 | 25 |

Atomic structure:
```
data_NaLiH4C2O5
_symmetry_space_group_name_H-M 'P -1'
_symmetry_Int_Tables_number 2
_cell_length_a 7.140
_cell_length_b 8.305
_cell_length_c 10.504
_cell_angle_alpha 109.56
_cell_angle_beta 99.41
_cell_angle_gamma 90.42
loop_
_symmetry_equiv_pos_as_xyz
'x,y,z'
'-x,-y,-z'
loop_
_atom_site_label
_atom_site_fract_x
_atom_site_fract_y
_atom_site_fract_z
Na1 0.090 0.354 0.353
Na2 0.408 0.639 0.645
Li1 0.216 0.939 0.863
Li2 0.306 0.632 0.205
H1 0.034 0.886 0.499
H2 0.075 0.934 0.260
H3 0.131 0.035 0.164
H4 0.202 0.469 0.866
H5 0.271 0.302 0.983
H6 0.365 0.087 0.481
H7 0.438 0.058 0.730
H8 0.452 0.034 0.173
C1 0.091 0.768 0.435
C2 0.222 0.612 0.909
C3 0.277 0.264 0.075
C4 0.396 0.219 0.557
O1 0.046 0.035 0.230
O2 0.118 0.762 0.318
O3 0.122 0.651 0.488
O4 0.200 0.688 0.821
O5 0.262 0.103 0.054
O6 0.262 0.682 0.037
O7 0.300 0.382 0.191
O8 0.379 0.341 0.511
O9 0.430 0.957 0.762
O10 0.450 0.232 0.682
```



Record 5
The following is a theoretical powder diffraction line list of Gd2Zn17. It was derived from a crystal structure in the Materials Project, relaxed with PBE, using Cu Kα (weighted mean of Kα1 and Kα2).
Kinematic intensities with the Lorentz-polarization factor, no thermal factor.

Main lines, by angle (10° ≤ 2θ ≤ 90°):
| Position (°2θ) | d/Å | intensity |
| --- | --- | --- |
| 28.3 | 3.152 | 27 |
| 34.5 | 2.599 | 39 |
| 40.1 | 2.251 | 60 |
| 40.3 | 2.240 | 100 |
| 40.9 | 2.208 | 33 |
| 45.2 | 2.005 | 30 |

Atomic structure:
```
data_Gd2Zn17
_symmetry_space_group_name_H-M 'R -3 m'
_symmetry_Int_Tables_number 166
_symmetry_space_group_name_Hall '-R 3 2"'
_cell_length_a 9.0034
_cell_length_b 9.0034
_cell_length_c 13.2471
_cell_angle_alpha 90.00
_cell_angle_beta 90.00
_cell_angle_gamma 120.00
loop_
_atom_site_label
_atom_site_fract_x
_atom_site_fract_y
_atom_site_fract_z
Gd1 0.0000 0.0000 0.1647
Zn1 0.0000 0.0000 0.4000
Zn2 0.0000 0.2963 0.5000
Zn3 0.0000 0.5000 0.0000
Zn4 0.0081 0.5041 0.6531
```



Record 6
The following is a theoretical powder diffraction line list of ZnRhF6. It was derived from a crystal structure in the Materials Project, relaxed with PBE, using Cu Kα (weighted mean of Kα1 and Kα2).
Kinematic intensities with the Lorentz-polarization factor, no thermal factor.

Main lines, by angle (10° ≤ 2θ ≤ 90°):
| Position (°2θ) | d/Å | intensity |
| --- | --- | --- |
| 23.8 | 3.736 | 100 |
| 32.8 | 2.730 | 33 |
| 35.0 | 2.561 | 15 |
| 48.8 | 1.868 | 16 |
| 53.4 | 1.715 | 30 |
| 56.5 | 1.630 | 15 |

Atomic structure:
```
data_ZnRhF6
_symmetry_space_group_name_H-M 'R -3'
_symmetry_Int_Tables_number 148
_symmetry_space_group_name_Hall '-R 3'
_cell_length_a 5.1225
_cell_length_b 5.1225
_cell_length_c 13.8510
_cell_angle_alpha 90.00
_cell_angle_beta 90.00
_cell_angle_gamma 120.00
loop_
_atom_site_label
_atom_site_fract_x
_atom_site_fract_y
_atom_site_fract_z
Zn1 0.0000 0.0000 0.0000
Rh1 0.0000 0.0000 0.5000
F1 0.0111 0.3684 0.2484
```



Record 7
The following is a theoretical powder diffraction line list of Sr3Ag. It was derived from a crystal structure in the Materials Project, relaxed with PBE, using Cu Kα (weighted mean of Kα1 and Kα2).
Kinematic intensities with the Lorentz-polarization factor, no thermal factor.

Main lines, by angle (10° ≤ 2θ ≤ 90°):
| Position (°2θ) | d/Å | intensity |
| --- | --- | --- |
| 28.1 | 3.170 | 100 |
| 32.6 | 2.745 | 51 |
| 46.8 | 1.941 | 36 |
| 55.5 | 1.656 | 43 |
| 75.5 | 1.260 | 17 |
| 77.8 | 1.228 | 16 |

Atomic structure:
```
data_Sr3Ag
_symmetry_space_group_name_H-M 'P m -3 m'
_symmetry_Int_Tables_number 221
_symmetry_space_group_name_Hall '-P 4 2 3'
_cell_length_a 5.491
_cell_length_b 5.491
_cell_length_c 5.491
_cell_angle_alpha 90.00
_cell_angle_beta 90.00
_cell_angle_gamma 90.00
loop_
_atom_site_label
_atom_site_fract_x
_atom_site_fract_y
_atom_site_fract_z
Sr1 0.000 0.000 0.500
Ag1 0.500 0.500 0.500
```



Record 8
The following is a theoretical powder diffraction line list of CeAlRu. It was derived from a crystal structure in the Materials Project, relaxed with PBE, using Cu Kα (weighted mean of Kα1 and Kα2).
Kinematic intensities with the Lorentz-polarization factor, no thermal factor.

Main lines, by angle (10° ≤ 2θ ≤ 90°):
| Position (°2θ) | d/Å | intensity |
| --- | --- | --- |
| 33.2 | 2.702 | 36 |
| 33.9 | 2.645 | 57 |
| 35.9 | 2.504 | 70 |
| 37.4 | 2.406 | 100 |
| 44.0 | 2.058 | 51 |
| 44.5 | 2.036 | 44 |

Atomic structure:
```
data_CeAlRu
_symmetry_space_group_name_H-M 'P n m a'
_symmetry_Int_Tables_number 62
_cell_length_a 7.224
_cell_length_b 4.071
_cell_length_c 15.878
_cell_angle_alpha 90.00
_cell_angle_beta 90.00
_cell_angle_gamma 90.00
loop_
_symmetry_equiv_pos_as_xyz
'x,y,z'
'-x,-y,-z'
'-x+1/2,-y,z+1/2'
'x+1/2,y,-z+1/2'
'x+1/2,-y+1/2,-z+1/2'
'-x+1/2,y+1/2,z+1/2'
'-x,y+1/2,-z'
'x,-y+1/2,z'
loop_
_atom_site_label
_atom_site_fract_x
_atom_site_fract_y
_atom_site_fract_z
Ce1 0.044 0.250 0.219
Ce2 0.168 0.250 0.439
Al1 0.002 0.750 0.063
Al2 0.132 0.250 0.651
Ru1 0.236 0.250 0.066
Ru2 0.242 0.750 0.317
```